Entry 1:
Calculated powder XRD pattern of SmEr2Sc8 for Cu Kα, from a DFT-relaxed cell (GGA-PBE, Alexandria).

Peak list (8 most intense, 2θ from 10° to 90°, low angle first)
- 21.06°, rel. 45.4
- 23.61°, rel. 96.7
- 26.24°, rel. 45.7
- 31.50°, rel. 85.6
- 32.18°, rel. 100.0
- 32.73°, rel. 47.7
- 39.25°, rel. 53.9
- 41.98°, rel. 46.2

Crystal structure
```
data_SmEr2Sc8
_symmetry_space_group_name_H-M 'P 1'
_symmetry_Int_Tables_number 1
_cell_length_a 9.1787
_cell_length_b 9.1787
_cell_length_c 9.1787
_cell_angle_alpha 145.32
_cell_angle_beta 136.57
_cell_angle_gamma 56.73
loop_
_symmetry_equiv_pos_as_xyz
'x,y,z'
loop_
_atom_site_label
_atom_site_type_symbol
_atom_site_fract_x
_atom_site_fract_y
_atom_site_fract_z
Sm1 Sm 0.0000 0.0000 0.0000
Er1 Er 0.3102 0.8102 0.5000
Er2 Er 0.6898 0.1898 0.5000
Sc1 Sc 0.0976 0.3696 0.7280
Sc2 Sc 0.2027 0.2027 0.0000
Sc3 Sc 0.3584 0.6304 0.7280
Sc4 Sc 0.5000 0.2431 0.7431
Sc5 Sc 0.5000 0.7569 0.2569
Sc6 Sc 0.6416 0.3696 0.2720
Sc7 Sc 0.7973 0.7973 0.0000
Sc8 Sc 0.9024 0.6304 0.2720
```



Entry 2:
Calculated powder XRD pattern of IrPt2Au for Cu Kα, from a DFT-relaxed cell (GGA-PBE, Alexandria).

Peak list (8 most intense, 2θ from 10° to 90°, low angle first)
- 38.71°, rel. 100.0
- 39.39°, rel. 96.7
- 44.92°, rel. 66.0
- 46.34°, rel. 30.7
- 66.52°, rel. 41.6
- 78.24°, rel. 25.5
- 79.54°, rel. 25.6
- 81.16°, rel. 12.4

Crystal structure
```
data_IrPt2Au
_symmetry_space_group_name_H-M 'P 1'
_symmetry_Int_Tables_number 1
_cell_length_a 2.8177
_cell_length_b 3.9188
_cell_length_c 5.7814
_cell_angle_alpha 90.00
_cell_angle_beta 90.00
_cell_angle_gamma 90.00
loop_
_symmetry_equiv_pos_as_xyz
'x,y,z'
loop_
_atom_site_label
_atom_site_type_symbol
_atom_site_fract_x
_atom_site_fract_y
_atom_site_fract_z
Ir1 Ir 0.0000 0.0000 0.0000
Pt1 Pt 0.0000 0.0000 0.4782
Pt2 Pt 0.5000 0.5000 0.2256
Au1 Au 0.5000 0.5000 0.7372
```